Starting from a DFT-relaxed cell (PBE, Alexandria), the powder X-ray diffraction pattern of Pm4Dy5Er2 was computed for Cu Kα, 1.54184 Å.
Peak positions follow from Bragg's law for the DFT cell and can differ from measured ones.

Cell: 19.1275 5.6457 6.6148 Å, 90.00 91.01 90.00°
Space group C2/m (No. 12)
Unique sites:
Pm 0.0196 0.0000 0.2884
Pm 0.1944 0.5000 0.0713
Dy 0.0000 0.5000 0.0000
Dy 0.1300 0.0000 0.8928
Dy 0.2082 0.0000 0.4021
Er 0.0975 0.5000 0.5530

Top 10 peaks for 10 to 80 degrees two-theta, low angle first:
two_theta, I_rel
30.93, 24
31.14, 18
31.50, 70
31.66, 100
44.87, 17
45.62, 11
56.33, 16
56.42, 12
56.61, 11
58.27, 10